[1]
The following is a computed X-ray powder pattern of Sc5Ni2Te2. It was derived from a cell relaxed with GGA-PBE, using Cu Ka.
Kinematic intensities with the Lorentz-polarization factor, no thermal factor.

Principal peaks in the range 2θ = 10–90°, by angle:
d = 3.432 Å, I 69, (4 0 2); d = 2.862 Å, I 40, (4 1 1); d = 2.620 Å, I 100, (1 1 3); d = 2.595 Å, I 40, (4 1 2); d = 2.329 Å, I 52, (6 1 1); d = 1.985 Å, I 59, (0 2 0)

Structural model:
```
data_Sc5Ni2Te2
_cell_length_a 17.9144
_cell_length_b 3.9701
_cell_length_c 10.6637
_cell_angle_alpha 90.00
_cell_angle_beta 90.00
_cell_angle_gamma 90.00
_space_group_name_H-M_alt 'P n m a'
_space_group_IT_number 62
loop_
_space_group_symop_operation_xyz
'x,y,z'
'-x,-y,-z'
'-x+1/2,-y,z+1/2'
'x+1/2,y,-z+1/2'
'x+1/2,-y+1/2,-z+1/2'
'-x+1/2,y+1/2,z+1/2'
'-x,y+1/2,-z'
'x,-y+1/2,z'
loop_
_atom_site_label
_atom_site_fract_x
_atom_site_fract_y
_atom_site_fract_z
_atom_site_occupancy
Sc1 0.0191 0.2500 0.1732 1
Sc2 0.0732 0.7500 0.5596 1
Sc3 0.1327 0.2500 0.8033 1
Sc4 0.1514 0.7500 0.2825 1
Sc5 0.2262 0.2500 0.4793 1
Ni1 0.0054 0.2500 0.6741 1
Ni2 0.0842 0.2500 0.3966 1
Te1 0.1077 0.7500 0.0096 1
Te2 0.2328 0.7500 0.6909 1
```



[2]
The following is a computed X-ray powder pattern of Ni3Se. It was derived from a cell relaxed with GGA-PBE, using Cu Ka.
Kinematic intensities with the Lorentz-polarization factor, no thermal factor.

Principal peaks in the range 2θ = 10–90°, by angle:
d = 2.231 Å, I 25, (2 0 0); d = 2.092 Å, I 27, (0 0 2); d = 1.969 Å, I 100, (2 0 1); d = 1.288 Å, I 15, (2 2 0); d = 1.183 Å, I 17, (2 0 3); d = 1.097 Å, I 18, (2 2 2)

Structural model:
```
data_Ni3Se
_cell_length_a 5.1526
_cell_length_b 5.1526
_cell_length_c 4.1834
_cell_angle_alpha 90.00
_cell_angle_beta 90.00
_cell_angle_gamma 120.00
_space_group_name_H-M_alt 'P 63/m m c'
_space_group_IT_number 194
_space_group_name_Hall '-P 6c 2c'
loop_
_atom_site_label
_atom_site_fract_x
_atom_site_fract_y
_atom_site_fract_z
_atom_site_occupancy
Ni1 0.1641 0.3282 0.2500 1
Se1 0.3333 0.6667 0.7500 1
```



[3]
The following is a computed X-ray powder pattern of Ni19Se20. It was derived from a cell relaxed with GGA-PBE, using Cu Ka.
Kinematic intensities with the Lorentz-polarization factor, no thermal factor.

Principal peaks in the range 2θ = 10–90°, by angle:
d = 2.738 Å, I 29, (-2 1 1); d = 2.728 Å, I 100, (0 1 -3); d = 2.018 Å, I 45, (0 4 3); d = 2.012 Å, I 69, (0 0 5); d = 1.855 Å, I 68, (4 2 1); d = 1.851 Å, I 34, (2 4 -1)

Structural model:
```
data_Ni19Se20
_cell_length_a 7.4159
_cell_length_b 9.0310
_cell_length_c 10.9886
_cell_angle_alpha 66.39
_cell_angle_beta 80.56
_cell_angle_gamma 66.08
_space_group_name_H-M_alt 'P -1'
_space_group_IT_number 2
loop_
_space_group_symop_operation_xyz
'x,y,z'
'-x,-y,-z'
loop_
_atom_site_label
_atom_site_fract_x
_atom_site_fract_y
_atom_site_fract_z
_atom_site_occupancy
Ni1 0.0000 0.0000 0.0000 1
Ni2 0.0000 0.5000 0.0000 1
Ni3 0.0945 0.4134 0.7942 1
Ni4 0.1068 0.8963 0.8024 1
Ni5 0.1962 0.7960 0.5994 1
Ni6 0.2027 0.2982 0.6020 1
Ni7 0.2914 0.2040 0.3987 1
Ni8 0.3054 0.6959 0.3962 1
Ni9 0.4029 0.1050 0.1976 1
Ni10 0.4079 0.5912 0.1896 1
Ni11 0.5000 0.0000 0.0000 1
Se1 0.0531 0.6169 0.5591 1
Se2 0.0527 0.7797 0.2300 1
Se3 0.1477 0.1883 0.0336 1
Se4 0.1515 0.0139 0.3658 1
Se5 0.2472 0.5867 0.8304 1
Se6 0.2501 0.4145 0.1695 1
Se7 0.3475 0.8203 0.9693 1
Se8 0.3494 0.9852 0.6333 1
Se9 0.4467 0.2205 0.7696 1
Se10 0.4523 0.3825 0.4311 1
```



[4]
The following is a computed X-ray powder pattern of Ni3Se2. It was derived from a cell relaxed with GGA-PBE, using Cu Ka.
Kinematic intensities with the Lorentz-polarization factor, no thermal factor.

Principal peaks in the range 2θ = 10–90°, by angle:
d = 3.013 Å, I 100, (1 1 0); d = 2.117 Å, I 70, (2 0 2); d = 1.903 Å, I 46, (2 1 1); d = 1.740 Å, I 36, (3 0 0); d = 1.732 Å, I 99, (1 2 2); d = 1.710 Å, I 35, (1 0 4)

Structural model:
```
data_Ni3Se2
_cell_length_a 6.0263
_cell_length_b 6.0263
_cell_length_c 7.2418
_cell_angle_alpha 90.00
_cell_angle_beta 90.00
_cell_angle_gamma 120.00
_space_group_name_H-M_alt 'R 3 2'
_space_group_IT_number 155
_space_group_name_Hall 'R 3 2"'
loop_
_atom_site_label
_atom_site_fract_x
_atom_site_fract_y
_atom_site_fract_z
_atom_site_occupancy
Ni1 0.0000 0.7520 0.0000 1
Se1 0.0000 0.0000 0.2583 1
```



[5]
The following is a computed X-ray powder pattern of Si2NiSe4. It was derived from a cell relaxed with GGA-PBE, using Cu Ka.
Kinematic intensities with the Lorentz-polarization factor, no thermal factor.

Principal peaks in the range 2θ = 10–90°, by angle:
d = 3.002 Å, I 100, (0 0 2); d = 2.810 Å, I 94, (1 1 1); d = 2.679 Å, I 96, (3 1 -1); d = 2.246 Å, I 86, (3 1 1); d = 2.114 Å, I 69, (5 1 -1); d = 1.818 Å, I 72, (3 1 -3)

Structural model:
```
data_Si2NiSe4
_cell_length_a 13.3277
_cell_length_b 3.4793
_cell_length_c 6.4505
_cell_angle_alpha 90.00
_cell_angle_beta 111.45
_cell_angle_gamma 90.00
_space_group_name_H-M_alt 'C 1 2/m 1'
_space_group_IT_number 12
loop_
_space_group_symop_operation_xyz
'x,y,z'
'-x,-y,-z'
'-x,y,-z'
'x,-y,z'
'x+1/2,y+1/2,z'
'-x+1/2,-y+1/2,-z'
'-x+1/2,y+1/2,-z'
'x+1/2,-y+1/2,z'
loop_
_atom_site_label
_atom_site_fract_x
_atom_site_fract_y
_atom_site_fract_z
_atom_site_occupancy
Si1 0.2399 0.0000 0.2204 1
Ni1 0.0000 0.5000 0.5000 1
Se1 0.1230 0.0000 0.4882 1
Se2 0.1281 0.5000 0.9741 1
```



[6]
The following is a computed X-ray powder pattern of Ni6SnSe2. It was derived from a cell relaxed with GGA-PBE, using Cu Ka.
Kinematic intensities with the Lorentz-polarization factor, no thermal factor.

Principal peaks in the range 2θ = 10–90°, by angle:
d = 3.181 Å, I 30, (1 0 3); d = 2.282 Å, I 78, (1 1 4); d = 2.006 Å, I 100, (1 1 6); d = 1.846 Å, I 56, (2 0 0); d = 1.317 Å, I 25, (2 0 10); d = 1.094 Å, I 27, (3 1 6)

Structural model:
```
data_Ni6SnSe2
_cell_length_a 3.6911
_cell_length_b 3.6911
_cell_length_c 18.8083
_cell_angle_alpha 90.00
_cell_angle_beta 90.00
_cell_angle_gamma 90.00
_space_group_name_H-M_alt 'I 4 m m'
_space_group_IT_number 107
_space_group_name_Hall 'I 4 -2'
loop_
_atom_site_label
_atom_site_fract_x
_atom_site_fract_y
_atom_site_fract_z
_atom_site_occupancy
Ni1 0.0000 0.0000 0.0000 1
Ni2 0.0000 0.0000 0.3000 1
Ni3 0.0000 0.5000 0.1013 1
Ni4 0.0000 0.5000 0.3993 1
Sn1 0.0000 0.0000 0.4995 1
Se1 0.0000 0.0000 0.1773 1
Se2 0.0000 0.0000 0.8156 1
```



[7]
The following is a computed X-ray powder pattern of Ta2NiSe7. It was derived from a cell relaxed with GGA-PBE, using Cu Ka.
Kinematic intensities with the Lorentz-polarization factor, no thermal factor.

Principal peaks in the range 2θ = 10–90°, by angle:
d = 6.991 Å, I 100, (2 0 0); d = 5.918 Å, I 69, (2 0 1); d = 2.699 Å, I 56, (4 0 -6); d = 2.612 Å, I 52, (1 1 4); d = 2.254 Å, I 62, (5 1 -2); d = 2.197 Å, I 52, (3 1 4)

Structural model:
```
data_Ta2NiSe7
_cell_length_a 14.6833
_cell_length_b 3.5150
_cell_length_c 18.6495
_cell_angle_alpha 90.00
_cell_angle_beta 107.78
_cell_angle_gamma 90.00
_space_group_name_H-M_alt 'C 1 2/m 1'
_space_group_IT_number 12
loop_
_space_group_symop_operation_xyz
'x,y,z'
'-x,-y,-z'
'-x,y,-z'
'x,-y,z'
'x+1/2,y+1/2,z'
'-x+1/2,-y+1/2,-z'
'-x+1/2,y+1/2,-z'
'x+1/2,-y+1/2,z'
loop_
_atom_site_label
_atom_site_fract_x
_atom_site_fract_y
_atom_site_fract_z
_atom_site_occupancy
Ta1 0.1527 0.0000 0.4000 1
Ta2 0.2280 0.0000 0.0905 1
Ni1 0.1898 0.5000 0.2091 1
Se1 0.0276 0.5000 0.4201 1
Se2 0.0709 0.5000 0.2957 1
Se3 0.0875 0.0000 0.1395 1
Se4 0.1408 0.5000 0.9881 1
Se5 0.1610 0.0000 0.8272 1
Se6 0.2050 0.0000 0.5558 1
Se7 0.2445 0.5000 0.7009 1
```



[8]
The following is a computed X-ray powder pattern of Ta2Ni3Se8. It was derived from a cell relaxed with GGA-PBE, using Cu Ka.
Kinematic intensities with the Lorentz-polarization factor, no thermal factor.

Principal peaks in the range 2θ = 10–90°, by angle:
d = 8.666 Å, I 33, (1 1 0); d = 6.117 Å, I 100, (1 2 0); d = 2.553 Å, I 35, (0 4 1); d = 2.226 Å, I 23, (3 3 1); d = 2.095 Å, I 26, (4 1 1); d = 1.993 Å, I 28, (1 6 1)

Structural model:
```
data_Ta2Ni3Se8
_cell_length_a 10.6340
_cell_length_b 14.9545
_cell_length_c 3.4939
_cell_angle_alpha 90.00
_cell_angle_beta 90.00
_cell_angle_gamma 90.00
_space_group_name_H-M_alt 'P b a m'
_space_group_IT_number 55
loop_
_space_group_symop_operation_xyz
'x,y,z'
'-x,-y,-z'
'-x,-y,z'
'x,y,-z'
'x+1/2,-y+1/2,-z'
'-x+1/2,y+1/2,z'
'-x+1/2,y+1/2,-z'
'x+1/2,-y+1/2,z'
loop_
_atom_site_label
_atom_site_fract_x
_atom_site_fract_y
_atom_site_fract_z
_atom_site_occupancy
Ta1 0.2012 0.1197 0.0000 1
Ni1 0.0000 0.0000 0.5000 1
Ni2 0.1344 0.7221 0.5000 1
Se1 0.0249 0.1561 0.5000 1
Se2 0.0573 0.6293 0.0000 1
Se3 0.2203 0.9914 0.5000 1
Se4 0.2445 0.2869 0.0000 1
```



[9]
The following is a computed X-ray powder pattern of TaNi2TeSe. It was derived from a cell relaxed with GGA-PBE, using Cu Ka.
Kinematic intensities with the Lorentz-polarization factor, no thermal factor.

Principal peaks in the range 2θ = 10–90°, by angle:
d = 8.277 Å, I 100, (0 0 2); d = 3.187 Å, I 22, (2 0 1); d = 2.476 Å, I 39, (1 1 4); d = 2.385 Å, I 26, (2 1 0); d = 2.259 Å, I 21, (1 1 5); d = 2.058 Å, I 23, (1 1 6)

Structural model:
```
data_TaNi2TeSe
_cell_length_a 6.4952
_cell_length_b 3.5145
_cell_length_c 16.5531
_cell_angle_alpha 90.00
_cell_angle_beta 90.00
_cell_angle_gamma 90.00
_space_group_name_H-M_alt 'P n m a'
_space_group_IT_number 62
loop_
_space_group_symop_operation_xyz
'x,y,z'
'-x,-y,-z'
'-x+1/2,-y,z+1/2'
'x+1/2,y,-z+1/2'
'x+1/2,-y+1/2,-z+1/2'
'-x+1/2,y+1/2,z+1/2'
'-x,y+1/2,-z'
'x,-y+1/2,z'
loop_
_atom_site_label
_atom_site_fract_x
_atom_site_fract_y
_atom_site_fract_z
_atom_site_occupancy
Ta1 0.0918 0.2500 0.2213 1
Ni1 0.1033 0.2500 0.6804 1
Ni2 0.2144 0.2500 0.8207 1
Te1 0.0903 0.2500 0.4029 1
Se1 0.0910 0.7500 0.0999 1
```



[10]
The following is a computed X-ray powder pattern of Tl2NiSe2. It was derived from a cell relaxed with GGA-PBE, using Cu Ka.
Kinematic intensities with the Lorentz-polarization factor, no thermal factor.

Principal peaks in the range 2θ = 10–90°, by angle:
d = 6.498 Å, I 41, (0 0 2); d = 2.989 Å, I 100, (1 1 2); d = 2.380 Å, I 38, (2 0 0); d = 2.338 Å, I 38, (1 1 4); d = 1.467 Å, I 24, (3 1 2); d = 1.366 Å, I 14, (3 1 4)

Structural model:
```
data_Tl2NiSe2
_cell_length_a 4.7606
_cell_length_b 4.7606
_cell_length_c 12.9963
_cell_angle_alpha 90.00
_cell_angle_beta 90.00
_cell_angle_gamma 90.00
_space_group_name_H-M_alt 'I 4/m m m'
_space_group_IT_number 139
_space_group_name_Hall '-I 4 2'
loop_
_atom_site_label
_atom_site_fract_x
_atom_site_fract_y
_atom_site_fract_z
_atom_site_occupancy
Tl1 0.0000 0.5000 0.2500 1
Ni1 0.0000 0.0000 0.0000 1
Se1 0.0000 0.0000 0.4052 1
```



[11]
The following is a computed X-ray powder pattern of U8NiSe17. It was derived from a cell relaxed with GGA-PBE, using Cu Ka.
Kinematic intensities with the Lorentz-polarization factor, no thermal factor.

Principal peaks in the range 2θ = 10–90°, by angle:
d = 3.670 Å, I 100, (2 2 0); d = 3.595 Å, I 84, (2 2 -1); d = 2.701 Å, I 67, (4 2 -1); d = 2.640 Å, I 97, (0 0 4); d = 2.324 Å, I 99, (4 2 -3); d = 2.183 Å, I 70, (0 4 0)

Structural model:
```
data_U8NiSe17
_cell_length_a 13.8633
_cell_length_b 8.7309
_cell_length_c 10.7987
_cell_angle_alpha 90.00
_cell_angle_beta 102.06
_cell_angle_gamma 90.00
_space_group_name_H-M_alt 'C 1 2/m 1'
_space_group_IT_number 12
loop_
_space_group_symop_operation_xyz
'x,y,z'
'-x,-y,-z'
'-x,y,-z'
'x,-y,z'
'x+1/2,y+1/2,z'
'-x+1/2,-y+1/2,-z'
'-x+1/2,y+1/2,-z'
'x+1/2,-y+1/2,z'
loop_
_atom_site_label
_atom_site_fract_x
_atom_site_fract_y
_atom_site_fract_z
_atom_site_occupancy
U1 0.0617 0.2421 0.2025 1
U2 0.1798 0.5000 0.5132 1
U3 0.2004 0.0000 0.9553 1
Ni1 0.0000 0.0000 0.5000 1
Se1 0.0000 0.0000 0.0000 1
Se2 0.0206 0.5000 0.6696 1
Se3 0.0525 0.0000 0.7224 1
Se4 0.1269 0.3081 0.9640 1
Se5 0.1353 0.1876 0.4742 1
Se6 0.2013 0.5000 0.2562 1
Se7 0.2149 0.0000 0.2224 1
```